Starting from a structure optimized by DFT (PBE), the PXRD pattern of Nd2Se3 was calculated for a wavelength of 1.5418 Å.
No peak broadening, texture or thermal motion is included.

Main lines, low angle first (2θ = 10–90°):
d_spacing	I (rel.)	h k l
4.021	73.4	2 0 2
3.222	76.8	1 1 2
2.901	76.9	2 1 2
2.789	74.7	0 1 3
2.747	66.0	3 1 1
2.711	100.0	1 1 3
2.529	85.1	3 1 2
2.095	84.4	0 2 0

Atomic structure:
Cell lengths 11.542, 4.189, 11.210 Å; angles 90.00, 90.00, 90.00 degrees
Fractional coordinates of all 20 atoms:
Nd1 0.011 0.250 0.187
Nd2 0.193 0.250 0.503
Nd3 0.307 0.750 0.003
Nd4 0.489 0.750 0.687
Nd5 0.511 0.250 0.313
Nd6 0.693 0.250 0.997
Nd7 0.807 0.750 0.497
Nd8 0.989 0.750 0.813
Se1 0.045 0.750 0.375
Se2 0.121 0.250 0.944
Se3 0.229 0.750 0.699
Se4 0.271 0.250 0.199
Se5 0.379 0.750 0.444
Se6 0.455 0.250 0.875
Se7 0.545 0.750 0.125
Se8 0.621 0.250 0.556
Se9 0.729 0.750 0.801
Se10 0.771 0.250 0.301
Se11 0.879 0.750 0.056
Se12 0.955 0.250 0.625